Calculated powder diffractogram
Compound: USb2Ru
Radiation: CuKα
Structure: DFT lattice parameters and positions (GGA-PBE)

Main lines, sorted by position (10° ≤ 2θ ≤ 80°):
| index | 2theta | I/Imax |
| --- | --- | --- |
| 1 0 1 | 22.5 | 14 |
| 0 0 3 | 29.2 | 8 |
| 1 1 2 | 34.9 | 100 |
| 1 0 3 | 35.8 | 11 |
| 0 0 4 | 39.3 | 10 |
| 2 0 0 | 41.2 | 39 |
| 1 1 3 | 41.5 | 9 |
| 2 0 3 | 51.3 | 7 |
| 2 0 4 | 58.2 | 13 |
| 2 2 0 | 59.6 | 13 |
| 3 1 2 | 71.0 | 26 |
| 2 2 4 | 73.8 | 6 |

Structure:
```
data_USb2Ru
_chemical_formula_sum 'U2 Sb4 Ru2'
_cell_length_a 4.3843
_cell_length_b 4.3843
_cell_length_c 9.1748
_cell_angle_alpha 90.00
_cell_angle_beta 90.00
_cell_angle_gamma 90.00
_space_group_name_H-M_alt 'P 4/n m m'
_space_group_IT_number 129
loop_
_space_group_symop_operation_xyz
'x,y,z'
'-x,-y,-z'
'-y+1/2,x,z'
'y+1/2,-x,-z'
'-x+1/2,-y+1/2,z'
'x+1/2,y+1/2,-z'
'y,-x+1/2,z'
'-y,x+1/2,-z'
'x+1/2,-y,-z'
'-x+1/2,y,z'
'-y,-x,-z'
'y,x,z'
'-x,y+1/2,-z'
'x,-y+1/2,z'
'y+1/2,x+1/2,-z'
'-y+1/2,-x+1/2,z'
loop_
_atom_site_label
_atom_site_type_symbol
_atom_site_fract_x
_atom_site_fract_y
_atom_site_fract_z
_atom_site_occupancy
U1 U 0.2500 0.2500 0.2262 1
Sb1 Sb 0.2500 0.2500 0.8211 1
Sb2 Sb 0.2500 0.7500 0.5000 1
Ru1 Ru 0.2500 0.7500 0.0000 1
```